This entry pairs a crystal structure of Na3La8Ti9Mn3O36 with its theoretical PXRD pattern. Radiation: Cu Kα. Structure: DFT lattice parameters and positions (GGA+U).
No peak broadening, texture or thermal motion is included.

Cell and atoms:
Cell lengths 5.5012, 5.5328, 27.1494 Å; angles 89.87, 89.84, 60.78 degrees
Atoms (fractional coordinates):
Na (0.0000, 0.0000, 0.0000)
Na (0.0013, 0.0084, 0.5036)
Na (0.3320, 0.3365, 0.1664)
La (0.0009, 0.0093, 0.2463)
La (0.0016, 0.9987, 0.7566)
La (0.3301, 0.3338, 0.4228)
La (0.3347, 0.3306, 0.9183)
La (0.3402, 0.3255, 0.6690)
La (0.6628, 0.6662, 0.0832)
La (0.6636, 0.6678, 0.3328)
La (0.6773, 0.6664, 0.5823)
Ti (0.0094, 0.9896, 0.8773)
Ti (0.3296, 0.3375, 0.0413)
Ti (0.3396, 0.3265, 0.7986)
Ti (0.3437, 0.3302, 0.5429)
Ti (0.6669, 0.6638, 0.9573)
Ti (0.6676, 0.6679, 0.7135)
Ti (0.6713, 0.6693, 0.2070)
Ti (0.9919, 0.0084, 0.3772)
Ti (0.9985, 0.0014, 0.1230)
Mn (0.0044, 0.0001, 0.6267)
Mn (0.3267, 0.3418, 0.2915)
Mn (0.6679, 0.6648, 0.4606)
O (0.0311, 0.4985, 0.7424)
O (0.0414, 0.4754, 0.2410)
O (0.0926, 0.2466, 0.3340)
O (0.1073, 0.7565, 0.3223)
O (0.1280, 0.2053, 0.8347)
O (0.1505, 0.7004, 0.8274)
O (0.1868, 0.6302, 0.0927)
O (0.2114, 0.5980, 0.5954)
O (0.2336, 0.1035, 0.0841)
O (0.2523, 0.0968, 0.5901)
O (0.2763, 0.8671, 0.6812)
O (0.3086, 0.8419, 0.1759)
O (0.3518, 0.8388, 0.4038)
O (0.3603, 0.8288, 0.9122)
O (0.4438, 0.5498, 0.5006)
O (0.4521, 0.5536, 0.0019)
O (0.4841, 0.0441, 0.9914)
O (0.4968, 0.0220, 0.4927)
O (0.4984, 0.9939, 0.7561)
O (0.5339, 0.9381, 0.2598)
O (0.5522, 0.4406, 0.7483)
O (0.5710, 0.4398, 0.2538)
O (0.5960, 0.2170, 0.3463)
O (0.6344, 0.1845, 0.8437)
O (0.7075, 0.1481, 0.0756)
O (0.7187, 0.1412, 0.5767)
O (0.7726, 0.9039, 0.6692)
O (0.7879, 0.8846, 0.1676)
O (0.7959, 0.4129, 0.6588)
O (0.8239, 0.3640, 0.1574)
O (0.8346, 0.3112, 0.4254)
O (0.8458, 0.3052, 0.9264)
O (0.8848, 0.7722, 0.4139)
O (0.9005, 0.7772, 0.9205)
O (0.9647, 0.5163, 0.0112)
O (0.9894, 0.4863, 0.5137)

The 10 most intense peaks (10 to 80 degrees two-theta), by angle:
index	2θ/deg	I/Imax
1 0 -2	19.6	22
1 -1 0	32.1	33
0 1 -8	32.3	33
1 2 0	32.4	100
2 1 0	32.6	34
0 2 8	46.1	24
2 0 8	46.3	23
2 2 -8	46.7	23
3 0 0	57.6	20
2 4 0	67.7	19